Computed powder X-ray diffraction pattern of ZnPd3 for Cu Kα, 1.54184 Å, from a cell relaxed with GGA-PBE.
No peak broadening, texture or thermal motion is included.

Structure:
Cell lengths 3.928, 3.928, 3.928 Å; angles 90.00, 90.00, 90.00 degrees
Sites, in units of the cell vectors:
Zn: 0.000 0.000 0.000
Pd: 0.000 0.500 0.500
Pd: 0.500 0.000 0.500
Pd: 0.500 0.500 0.000

Largest 10 diffraction maxima, low angle first, 2θ = 15–90°:
2θ/deg	I (rel.)
22.6	2.9
32.2	2.3
39.7	100.0
46.2	48.3
52.1	1.2
57.5	0.9
67.4	30.2
72.1	0.6
81.2	35.5
85.7	10.4



Computed powder X-ray diffraction pattern of La3Co for Cu Kα, 1.54184 Å, from a cell relaxed with GGA-PBE.
No peak broadening, texture or thermal motion is included.

Structure:
Cell lengths 7.058, 10.045, 6.536 Å; angles 90.00, 90.00, 90.00 degrees
Sites, in units of the cell vectors:
La: 0.051 0.250 0.145
La: 0.166 0.072 0.673
La: 0.166 0.428 0.673
La: 0.334 0.572 0.173
La: 0.334 0.928 0.173
La: 0.449 0.750 0.645
La: 0.551 0.250 0.355
La: 0.666 0.072 0.827
La: 0.666 0.428 0.827
La: 0.834 0.572 0.327
La: 0.834 0.928 0.327
La: 0.949 0.750 0.855
Co: 0.119 0.750 0.438
Co: 0.381 0.250 0.938
Co: 0.619 0.750 0.062
Co: 0.881 0.250 0.562

Largest 10 diffraction maxima, low angle first, 2θ = 15–90°:
2θ/deg	I (rel.)
30.0	100.0
30.1	77.0
31.0	35.1
31.5	74.1
32.6	55.5
33.9	67.4
37.0	25.1
47.3	30.1
51.7	27.0
55.4	26.1



Computed powder X-ray diffraction pattern of Y2Al9Rh3 for Cu Kα, 1.54184 Å, from a cell relaxed with GGA-PBE.
No peak broadening, texture or thermal motion is included.

Structure:
Cell lengths 7.563, 7.563, 9.489 Å; angles 90.00, 90.00, 60.54 degrees
Sites, in units of the cell vectors:
Y: 0.005 0.670 0.750
Y: 0.330 0.995 0.750
Y: 0.670 0.005 0.250
Y: 0.995 0.330 0.250
Al: 0.002 0.665 0.073
Al: 0.002 0.665 0.427
Al: 0.127 0.873 0.250
Al: 0.334 0.666 0.552
Al: 0.334 0.666 0.948
Al: 0.335 0.998 0.073
Al: 0.335 0.998 0.427
Al: 0.338 0.452 0.250
Al: 0.452 0.338 0.750
Al: 0.548 0.662 0.250
Al: 0.662 0.548 0.750
Al: 0.665 0.002 0.573
Al: 0.665 0.002 0.927
Al: 0.666 0.334 0.052
Al: 0.666 0.334 0.448
Al: 0.873 0.127 0.750
Al: 0.998 0.335 0.573
Al: 0.998 0.335 0.927
Rh: 0.000 0.000 0.000
Rh: 0.000 0.000 0.500
Rh: 0.328 0.328 0.000
Rh: 0.328 0.328 0.500
Rh: 0.672 0.672 0.000
Rh: 0.672 0.672 0.500

Largest 10 diffraction maxima, low angle first, 2θ = 15–90°:
2θ/deg	I (rel.)
23.5	33.0
30.1	51.3
30.2	100.0
37.1	52.8
37.9	43.7
41.1	91.7
41.5	44.1
52.1	31.1
57.2	36.1
63.8	32.2



Computed powder X-ray diffraction pattern of Rb3GePSe7 for Cu Kα, 1.54184 Å, from a cell relaxed with GGA-PBE.
No peak broadening, texture or thermal motion is included.

Structure:
Cell lengths 7.425, 10.012, 12.198 Å; angles 78.69, 89.53, 68.57 degrees
Sites, in units of the cell vectors:
Rb: 0.059 0.480 0.290
Rb: 0.320 0.874 0.104
Rb: 0.386 0.806 0.489
Rb: 0.614 0.194 0.511
Rb: 0.680 0.126 0.896
Rb: 0.941 0.520 0.710
Ge: 0.399 0.564 0.872
Ge: 0.601 0.436 0.128
P: 0.231 0.071 0.719
P: 0.769 0.929 0.281
Se: 0.044 0.935 0.695
Se: 0.083 0.763 0.867
Se: 0.110 0.224 0.557
Se: 0.154 0.167 0.868
Se: 0.350 0.392 0.031
Se: 0.464 0.070 0.276
Se: 0.469 0.485 0.706
Se: 0.531 0.515 0.294
Se: 0.536 0.930 0.724
Se: 0.650 0.608 0.969
Se: 0.846 0.833 0.132
Se: 0.890 0.776 0.443
Se: 0.917 0.237 0.133
Se: 0.956 0.065 0.305

Largest 10 diffraction maxima, low angle first, 2θ = 15–90°:
2θ/deg	I (rel.)
26.4	65.4
26.5	100.0
27.0	88.6
28.9	48.4
29.4	24.4
30.9	53.2
37.7	28.4
38.4	31.0
51.4	24.6
56.6	22.7